For NdGd3Zn12Ge6, a DFT-relaxed cell (PBE, OQMD) gives the theoretical powder diffraction line list in this record (Cu Kα, 1.54184 Å).

Principal peaks in the range 15 to 90 degrees two-theta, low angle first:
2θ = 32.26°, d = 2.775 Å, rel. 100; 2θ = 36.00°, d = 2.494 Å, rel. 23; 2θ = 41.03°, d = 2.200 Å, rel. 32; 2θ = 42.57°, d = 2.124 Å, rel. 53; 2θ = 44.77°, d = 2.024 Å, rel. 24; 2θ = 53.12°, d = 1.724 Å, rel. 16; 2θ = 62.33°, d = 1.490 Å, rel. 18; 2θ = 69.23°, d = 1.357 Å, rel. 31

Structure:
Cell lengths 7.620, 4.049, 13.201 Å; angles 90.00, 90.00, 90.00 degrees
Sites, in units of the cell vectors:
Nd  0.000  0.000  0.000
Gd  0.000  0.000  0.334
Gd  0.500  0.000  0.500
Gd  0.500  0.000  0.833
Zn  0.095  0.000  0.571
Zn  0.096  0.000  0.761
Zn  0.286  0.500  0.666
Zn  0.310  0.000  0.168
Zn  0.356  0.500  0.024
Zn  0.358  0.500  0.310
Zn  0.593  0.000  0.071
Zn  0.596  0.000  0.262
Zn  0.786  0.500  0.167
Zn  0.809  0.000  0.667
Zn  0.857  0.500  0.524
Zn  0.857  0.500  0.809
Ge  0.114  0.500  0.169
Ge  0.194  0.500  0.473
Ge  0.196  0.500  0.858
Ge  0.613  0.500  0.666
Ge  0.690  0.500  0.973
Ge  0.694  0.500  0.360

=====

For TbDyB2Pt2N2, a DFT-relaxed cell (PBE, OQMD) gives the theoretical powder diffraction line list in this record (Cu Kα, 1.54184 Å).

Principal peaks in the range 15 to 90 degrees two-theta, low angle first:
2θ = 26.57°, d = 3.355 Å, rel. 38; 2θ = 33.65°, d = 2.663 Å, rel. 28; 2θ = 35.51°, d = 2.528 Å, rel. 41; 2θ = 35.95°, d = 2.498 Å, rel. 100; 2θ = 41.63°, d = 2.170 Å, rel. 63; 2θ = 48.68°, d = 1.871 Å, rel. 37; 2θ = 60.04°, d = 1.541 Å, rel. 26; 2θ = 61.69°, d = 1.504 Å, rel. 34

Structure:
Cell lengths 3.741, 3.741, 7.584 Å; angles 90.00, 90.00, 90.00 degrees
Sites, in units of the cell vectors:
Tb  0.000  0.000  0.000
Dy  0.500  0.500  0.325
B  0.000  0.000  0.492
B  0.500  0.500  0.834
Pt  0.000  0.500  0.663
Pt  0.500  0.000  0.663
N  0.000  0.000  0.302
N  0.500  0.500  0.024

=====

For Ac3Mg3Zn8, a DFT-relaxed cell (PBE, OQMD) gives the theoretical powder diffraction line list in this record (Cu Kα, 1.54184 Å).

Principal peaks in the range 15 to 90 degrees two-theta, low angle first:
2θ = 20.89°, d = 4.251 Å, rel. 21; 2θ = 21.16°, d = 4.198 Å, rel. 27; 2θ = 26.67°, d = 3.343 Å, rel. 27; 2θ = 31.43°, d = 2.846 Å, rel. 25; 2θ = 32.88°, d = 2.724 Å, rel. 100; 2θ = 34.21°, d = 2.621 Å, rel. 23; 2θ = 34.38°, d = 2.608 Å, rel. 43; 2θ = 38.38°, d = 2.345 Å, rel. 29

Structure:
Cell lengths 8.874, 8.874, 8.874 Å; angles 149.35, 115.92, 72.70 degrees
Sites, in units of the cell vectors:
Ac  0.000  0.000  0.000
Ac  0.295  0.295  0.000
Ac  0.705  0.705  0.000
Mg  0.300  0.500  0.800
Mg  0.500  0.000  0.500
Mg  0.700  0.500  0.200
Zn  0.023  0.662  0.361
Zn  0.131  0.856  0.275
Zn  0.302  0.662  0.639
Zn  0.419  0.144  0.275
Zn  0.581  0.856  0.725
Zn  0.698  0.338  0.361
Zn  0.869  0.144  0.725
Zn  0.977  0.338  0.639

=====

For PrNiSn2Ge, a DFT-relaxed cell (PBE, OQMD) gives the theoretical powder diffraction line list in this record (Cu Kα, 1.54184 Å).

Principal peaks in the range 15 to 90 degrees two-theta, low angle first:
2θ = 30.77°, d = 2.906 Å, rel. 38; 2θ = 30.96°, d = 2.889 Å, rel. 100; 2θ = 34.69°, d = 2.586 Å, rel. 31; 2θ = 39.70°, d = 2.270 Å, rel. 20; 2θ = 40.86°, d = 2.208 Å, rel. 33; 2θ = 41.12°, d = 2.195 Å, rel. 32; 2θ = 45.67°, d = 1.987 Å, rel. 19; 2θ = 59.37°, d = 1.557 Å, rel. 22

Structure:
Cell lengths 11.817, 11.817, 4.417 Å; angles 90.00, 90.00, 158.59 degrees
Sites, in units of the cell vectors:
Pr  0.176  0.824  0.000
Pr  0.824  0.176  0.000
Ni  0.381  0.619  0.500
Ni  0.619  0.381  0.500
Sn  0.062  0.938  0.500
Sn  0.438  0.562  0.000
Sn  0.562  0.438  0.000
Sn  0.938  0.062  0.500
Ge  0.281  0.719  0.500
Ge  0.719  0.281  0.500

=====

For BeHgSO, a DFT-relaxed cell (PBE, OQMD) gives the theoretical powder diffraction line list in this record (Cu Kα, 1.54184 Å).

Principal peaks in the range 15 to 90 degrees two-theta, low angle first:
2θ = 21.16°, d = 4.199 Å, rel. 100; 2θ = 23.05°, d = 3.858 Å, rel. 33; 2θ = 27.60°, d = 3.232 Å, rel. 23; 2θ = 30.83°, d = 2.901 Å, rel. 38; 2θ = 32.99°, d = 2.715 Å, rel. 34; 2θ = 38.84°, d = 2.319 Å, rel. 23; 2θ = 41.46°, d = 2.178 Å, rel. 31; 2θ = 45.86°, d = 1.979 Å, rel. 25

Structure:
Cell lengths 5.005, 7.119, 7.716 Å; angles 90.00, 90.00, 90.00 degrees
Sites, in units of the cell vectors:
Be  0.041  0.225  0.075
Be  0.459  0.775  0.575
Be  0.541  0.275  0.925
Be  0.959  0.725  0.425
Hg  0.021  0.572  0.804
Hg  0.479  0.428  0.304
Hg  0.521  0.928  0.196
Hg  0.979  0.072  0.696
S  0.199  0.149  0.325
S  0.301  0.851  0.825
S  0.699  0.351  0.675
S  0.801  0.649  0.175
O  0.248  0.685  0.461
O  0.252  0.315  0.961
O  0.748  0.815  0.539
O  0.752  0.185  0.039

=====

For SrSmIr, a DFT-relaxed cell (PBE, OQMD) gives the theoretical powder diffraction line list in this record (Cu Kα, 1.54184 Å).

Principal peaks in the range 15 to 90 degrees two-theta, low angle first:
2θ = 21.80°, d = 4.077 Å, rel. 51; 2θ = 35.97°, d = 2.497 Å, rel. 100; 2θ = 42.46°, d = 2.129 Å, rel. 27; 2θ = 51.79°, d = 1.765 Å, rel. 18; 2θ = 56.83°, d = 1.620 Å, rel. 12; 2θ = 64.67°, d = 1.441 Å, rel. 36; 2θ = 76.28°, d = 1.248 Å, rel. 11; 2θ = 87.34°, d = 1.117 Å, rel. 17

Structure:
Cell lengths 4.993, 4.993, 4.993 Å; angles 60.00, 60.00, 60.00 degrees
Sites, in units of the cell vectors:
Sr  0.000  0.000  0.000
Sm  0.500  0.500  0.500
Ir  0.750  0.750  0.750

=====

For GdTm2Hg, a DFT-relaxed cell (PBE, OQMD) gives the theoretical powder diffraction line list in this record (Cu Kα, 1.54184 Å).

Principal peaks in the range 15 to 90 degrees two-theta, low angle first:
2θ = 31.70°, d = 2.822 Å, rel. 25; 2θ = 32.09°, d = 2.789 Å, rel. 33; 2θ = 33.97°, d = 2.639 Å, rel. 100; 2θ = 45.74°, d = 1.984 Å, rel. 19; 2θ = 57.93°, d = 1.592 Å, rel. 12; 2θ = 58.42°, d = 1.580 Å, rel. 21; 2θ = 62.19°, d = 1.493 Å, rel. 8; 2θ = 71.50°, d = 1.320 Å, rel. 8

Structure:
Cell lengths 5.578, 6.660, 6.660 Å; angles 115.90, 90.00, 90.00 degrees
Sites, in units of the cell vectors:
Gd  0.250  0.118  0.882
Gd  0.750  0.882  0.118
Tm  0.250  0.198  0.394
Tm  0.250  0.680  0.365
Tm  0.750  0.365  0.680
Tm  0.750  0.394  0.198
Hg  0.250  0.617  0.881
Hg  0.750  0.881  0.617

=====

For DyCdAg4, a DFT-relaxed cell (PBE, OQMD) gives the theoretical powder diffraction line list in this record (Cu Kα, 1.54184 Å).

Principal peaks in the range 15 to 90 degrees two-theta, low angle first:
2θ = 32.05°, d = 2.793 Å, rel. 33; 2θ = 37.77°, d = 2.382 Å, rel. 100; 2θ = 39.52°, d = 2.280 Å, rel. 34; 2θ = 57.12°, d = 1.613 Å, rel. 13; 2θ = 60.94°, d = 1.520 Å, rel. 30; 2θ = 67.02°, d = 1.396 Å, rel. 26; 2θ = 79.54°, d = 1.205 Å, rel. 8; 2θ = 80.66°, d = 1.191 Å, rel. 9

Structure:
Cell lengths 5.583, 5.583, 5.583 Å; angles 60.08, 60.08, 60.08 degrees
Sites, in units of the cell vectors:
Dy  0.000  0.000  0.000
Cd  0.250  0.250  0.250
Ag  0.125  0.624  0.624
Ag  0.624  0.125  0.624
Ag  0.624  0.624  0.125
Ag  0.624  0.624  0.624

=====

For DyTm2Mg3TlGa2, a DFT-relaxed cell (PBE, OQMD) gives the theoretical powder diffraction line list in this record (Cu Kα, 1.54184 Å).

Principal peaks in the range 15 to 90 degrees two-theta, low angle first:
2θ = 19.62°, d = 4.525 Å, rel. 31; 2θ = 24.44°, d = 3.643 Å, rel. 13; 2θ = 28.29°, d = 3.155 Å, rel. 43; 2θ = 31.53°, d = 2.837 Å, rel. 26; 2θ = 34.66°, d = 2.588 Å, rel. 100; 2θ = 39.85°, d = 2.262 Å, rel. 20; 2θ = 49.58°, d = 1.838 Å, rel. 19; 2θ = 69.02°, d = 1.361 Å, rel. 14

Structure:
Cell lengths 4.525, 7.294, 7.294 Å; angles 120.22, 90.00, 90.00 degrees
Sites, in units of the cell vectors:
Dy  0.000  0.000  0.000
Tm  0.000  0.438  0.875
Tm  0.000  0.875  0.438
Mg  0.500  0.188  0.438
Mg  0.500  0.438  0.188
Mg  0.500  0.689  0.689
Tl  0.000  0.441  0.441
Ga  0.500  0.106  0.770
Ga  0.500  0.770  0.106

=====

For TbAlB4, a DFT-relaxed cell (PBE, OQMD) gives the theoretical powder diffraction line list in this record (Cu Kα, 1.54184 Å).

Principal peaks in the range 15 to 90 degrees two-theta, low angle first:
2θ = 20.47°, d = 4.340 Å, rel. 100; 2θ = 22.94°, d = 3.876 Å, rel. 49; 2θ = 30.23°, d = 2.956 Å, rel. 37; 2θ = 32.82°, d = 2.729 Å, rel. 52; 2θ = 34.25°, d = 2.618 Å, rel. 22; 2θ = 40.42°, d = 2.232 Å, rel. 81; 2θ = 41.62°, d = 2.170 Å, rel. 38; 2θ = 46.32°, d = 1.960 Å, rel. 24

Structure:
Cell lengths 4.944, 4.944, 4.944 Å; angles 142.26, 116.04, 76.72 degrees
Sites, in units of the cell vectors:
Tb  0.000  0.000  0.000
Al  0.500  0.500  0.000
B  0.069  0.741  0.328
B  0.413  0.741  0.672
B  0.587  0.259  0.328
B  0.931  0.259  0.672